No. 1
Diffraction record for BeAlGeIr. The X-ray diffraction stick pattern is computed, not measured: it uses DFT lattice parameters and positions (GGA-PBE) and Cu Kα, 1.54184 Å.
Intensities are scaled so that the largest is 1000.

Crystal structure
```
data_BeAlGeIr
_space_group_name_H-M_alt 'F -4 3 m'
_space_group_IT_number 216
_space_group_name_Hall 'F -4 2 3'
_cell_length_a 6.038
_cell_length_b 6.038
_cell_length_c 6.038
_cell_angle_alpha 90.00
_cell_angle_beta 90.00
_cell_angle_gamma 90.00
loop_
_atom_site_label
_atom_site_fract_x
_atom_site_fract_y
_atom_site_fract_z
Be1 0.000 0.000 0.000
Al1 0.000 0.000 0.500
Ge1 0.250 0.250 0.250
Ir1 0.250 0.250 0.750
```

Principal peaks in the range 2θ = 15–90°, low angle first:
- hkl 1 1 1, 2θ 25.6, I 375
- hkl 2 0 0, 2θ 29.6, I 790
- hkl 2 2 0, 2θ 42.3, I 1000
- hkl 3 1 1, 2θ 50.1, I 191
- hkl 2 2 2, 2θ 52.5, I 218
- hkl 4 0 0, 2θ 61.4, I 166
- hkl 3 3 1, 2θ 67.6, I 80
- hkl 4 2 0, 2θ 69.6, I 281
- hkl 4 2 2, 2θ 77.4, I 341
- hkl 5 1 1, 2θ 83.1, I 63

No. 2
Diffraction record for BeAlNiW. The X-ray diffraction stick pattern is computed, not measured: it uses DFT lattice parameters and positions (GGA-PBE) and Cu Kα, 1.54184 Å.
Intensities are scaled so that the largest is 1000.

Crystal structure
```
data_BeAlNiW
_space_group_name_H-M_alt 'F -4 3 m'
_space_group_IT_number 216
_space_group_name_Hall 'F -4 2 3'
_cell_length_a 5.851
_cell_length_b 5.851
_cell_length_c 5.851
_cell_angle_alpha 90.00
_cell_angle_beta 90.00
_cell_angle_gamma 90.00
loop_
_atom_site_label
_atom_site_fract_x
_atom_site_fract_y
_atom_site_fract_z
Be1 0.000 0.000 0.000
Al1 0.250 0.250 0.250
Ni1 0.000 0.000 0.500
W1 0.250 0.250 0.750
```

Principal peaks in the range 2θ = 15–90°, low angle first:
- hkl 1 1 1, 2θ 26.4, I 893
- hkl 2 0 0, 2θ 30.6, I 316
- hkl 2 2 0, 2θ 43.8, I 1000
- hkl 3 1 1, 2θ 51.8, I 433
- hkl 2 2 2, 2θ 54.3, I 89
- hkl 4 0 0, 2θ 63.6, I 162
- hkl 3 3 1, 2θ 70.1, I 175
- hkl 4 2 0, 2θ 72.2, I 119
- hkl 4 2 2, 2θ 80.4, I 332
- hkl 5 1 1, 2θ 86.4, I 138

No. 3
Diffraction record for Be4AlPd. The X-ray diffraction stick pattern is computed, not measured: it uses DFT lattice parameters and positions (GGA-PBE) and Cu Kα, 1.54184 Å.
Intensities are scaled so that the largest is 1000.

Crystal structure
```
data_Be4AlPd
_space_group_name_H-M_alt 'F -4 3 m'
_space_group_IT_number 216
_space_group_name_Hall 'F -4 2 3'
_cell_length_a 6.202
_cell_length_b 6.202
_cell_length_c 6.202
_cell_angle_alpha 90.00
_cell_angle_beta 90.00
_cell_angle_gamma 90.00
loop_
_atom_site_label
_atom_site_fract_x
_atom_site_fract_y
_atom_site_fract_z
Be1 0.124 0.124 0.124
Al1 0.000 0.000 0.500
Pd1 0.250 0.250 0.750
```

Principal peaks in the range 2θ = 15–90°, low angle first:
- hkl 1 1 1, 2θ 24.9, I 1000
- hkl 2 0 0, 2θ 28.8, I 334
- hkl 2 2 0, 2θ 41.2, I 701
- hkl 3 1 1, 2θ 48.7, I 692
- hkl 2 2 2, 2θ 51.0, I 97
- hkl 3 3 1, 2θ 65.6, I 193
- hkl 4 2 0, 2θ 67.5, I 114
- hkl 4 2 2, 2θ 75.0, I 231
- hkl 3 3 3, 2θ 80.5, I 208
- hkl 4 4 0, 2θ 89.4, I 106